Structure and simulated powder X-ray diffraction pattern of LiCaSeBrF (a cell relaxed with GGA-PBE; Cu Kα X-rays).

Crystal structure
Cell lengths 7.4595, 4.3079, 6.8322 Å; angles 90.00, 90.14, 90.00 degrees
Space group Cm (No. 8)
One atom of each set of equivalent atoms:
Li (0.0000, 0.0000, 0.0000) (multiplicity 2)
Ca (0.3338, 0.0000, 0.3126) (multiplicity 2)
Se (0.1666, 0.5000, 0.0031) (multiplicity 2)
Br (0.1678, 0.5000, 0.5742) (multiplicity 2)
F (0.0006, 0.0000, 0.2832) (multiplicity 2)

Largest 10 diffraction maxima, sorted by position, 15° ≤ 2θ ≤ 90°:
| two_theta | I/Imax |
| --- | --- |
| 23.85 | 77 |
| 26.08 | 10 |
| 27.24 | 33 |
| 35.64 | 100 |
| 39.57 | 11 |
| 41.95 | 53 |
| 48.83 | 11 |
| 56.18 | 22 |
| 59.00 | 12 |
| 72.50 | 16 |

---

Structure and simulated powder X-ray diffraction pattern of LiCaSeBrF (a cell relaxed with GGA-PBE; Cu Kα X-rays).

Crystal structure
Cell lengths 6.8228, 3.7218, 8.5366 Å; angles 90.00, 106.00, 90.00 degrees
Space group Cm (No. 8)
One atom of each set of equivalent atoms:
Li (0.0000, 0.0000, 0.0000) (multiplicity 2)
Ca (0.3628, 0.5000, 0.5243) (multiplicity 2)
Se (0.4108, 0.0000, 0.2255) (multiplicity 2)
Br (0.1089, 0.5000, 0.8183) (multiplicity 2)
F (0.1905, 0.0000, 0.5317) (multiplicity 2)

Largest 10 diffraction maxima, sorted by position, 15° ≤ 2θ ≤ 90°:
| two_theta | I/Imax |
| --- | --- |
| 21.66 | 11 |
| 26.34 | 17 |
| 27.56 | 24 |
| 29.82 | 25 |
| 31.05 | 50 |
| 32.06 | 35 |
| 32.80 | 100 |
| 46.28 | 12 |
| 46.81 | 32 |
| 48.93 | 18 |

---

Structure and simulated powder X-ray diffraction pattern of CaFeBr4 (a cell relaxed with GGA-PBE; Cu Kα X-rays).

Crystal structure
Cell lengths 6.5705, 6.5705, 11.0639 Å; angles 90.00, 90.00, 90.00 degrees
Space group I-4 (No. 82)
One atom of each set of equivalent atoms:
Ca (0.0000, 0.0000, 0.0000) (multiplicity 2)
Fe (0.0000, 0.5000, 0.2500) (multiplicity 2)
Br (0.2121, 0.7281, 0.3710) (multiplicity 8)

Largest 10 diffraction maxima, sorted by position, 15° ≤ 2θ ≤ 90°:
| two_theta | I/Imax |
| --- | --- |
| 15.69 | 33 |
| 25.03 | 100 |
| 27.14 | 15 |
| 31.50 | 10 |
| 38.76 | 20 |
| 39.20 | 10 |
| 42.73 | 34 |
| 46.70 | 26 |
| 50.78 | 9 |
| 53.46 | 11 |

---

Structure and simulated powder X-ray diffraction pattern of CaFe2I6Br2 (a cell relaxed with GGA-PBE; Cu Kα X-rays).

Crystal structure
Cell lengths 7.4906, 7.4906, 10.6276 Å; angles 90.00, 90.00, 120.00 degrees
Space group P-3 (No. 147)
One atom of each set of equivalent atoms:
Ca (0.0000, 0.0000, 0.0000) (multiplicity 1)
Fe (0.3333, 0.6667, 0.7459) (multiplicity 2)
I (0.0027, 0.6602, 0.8238) (multiplicity 6)
Br (0.3333, 0.6667, 0.5302) (multiplicity 2)

Largest 10 diffraction maxima, sorted by position, 15° ≤ 2θ ≤ 90°:
| two_theta | I/Imax |
| --- | --- |
| 16.01 | 18 |
| 16.68 | 12 |
| 25.20 | 100 |
| 29.17 | 46 |
| 41.73 | 53 |
| 49.35 | 29 |
| 49.42 | 12 |
| 51.76 | 9 |
| 66.65 | 10 |
| 76.23 | 13 |

---

Please write out number 3 again, unchanged.
Structure and simulated powder X-ray diffraction pattern of CaFeBr4 (a cell relaxed with GGA-PBE; Cu Kα X-rays).

Crystal structure
Cell lengths 6.5705, 6.5705, 11.0639 Å; angles 90.00, 90.00, 90.00 degrees
Space group I-4 (No. 82)
One atom of each set of equivalent atoms:
Ca (0.0000, 0.0000, 0.0000) (multiplicity 2)
Fe (0.0000, 0.5000, 0.2500) (multiplicity 2)
Br (0.2121, 0.7281, 0.3710) (multiplicity 8)

Largest 10 diffraction maxima, sorted by position, 15° ≤ 2θ ≤ 90°:
| two_theta | I/Imax |
| --- | --- |
| 15.69 | 33 |
| 25.03 | 100 |
| 27.14 | 15 |
| 31.50 | 10 |
| 38.76 | 20 |
| 39.20 | 10 |
| 42.73 | 34 |
| 46.70 | 26 |
| 50.78 | 9 |
| 53.46 | 11 |

---

Copy entry 1 word for word.
Structure and simulated powder X-ray diffraction pattern of LiCaSeBrF (a cell relaxed with GGA-PBE; Cu Kα X-rays).

Crystal structure
Cell lengths 7.4595, 4.3079, 6.8322 Å; angles 90.00, 90.14, 90.00 degrees
Space group Cm (No. 8)
One atom of each set of equivalent atoms:
Li (0.0000, 0.0000, 0.0000) (multiplicity 2)
Ca (0.3338, 0.0000, 0.3126) (multiplicity 2)
Se (0.1666, 0.5000, 0.0031) (multiplicity 2)
Br (0.1678, 0.5000, 0.5742) (multiplicity 2)
F (0.0006, 0.0000, 0.2832) (multiplicity 2)

Largest 10 diffraction maxima, sorted by position, 15° ≤ 2θ ≤ 90°:
| two_theta | I/Imax |
| --- | --- |
| 23.85 | 77 |
| 26.08 | 10 |
| 27.24 | 33 |
| 35.64 | 100 |
| 39.57 | 11 |
| 41.95 | 53 |
| 48.83 | 11 |
| 56.18 | 22 |
| 59.00 | 12 |
| 72.50 | 16 |